The following is a computed powder X-ray diffraction pattern of Nd3Sn4Ru2. It was derived from a DFT-relaxed cell (PBE, Alexandria), using Cu Ka.

Structure:
Lattice parameters (Å, degrees): 11.386 4.756 8.803 90.00 108.34 90.00
Space group C2/m (No. 12)
Unique sites:
Nd 0.000 0.000 0.000 (multiplicity 2)
Nd 0.127 0.500 0.688 (multiplicity 4)
Sn 0.093 0.000 0.397 (multiplicity 4)
Sn 0.208 0.500 0.082 (multiplicity 4)
Ru 0.184 0.500 0.371 (multiplicity 4)

Top 6 peaks for 10 to 90 degrees two-theta, by angle:
(3 1 -1), 30.27 deg, d 2.953, intensity 54; (3 1 0), 31.15 deg, d 2.872, intensity 100; (1 1 2), 31.49 deg, d 2.841, intensity 65; (0 0 3), 32.14 deg, d 2.785, intensity 31; (0 2 0), 37.83 deg, d 2.378, intensity 58; (3 1 -3), 38.99 deg, d 2.310, intensity 60